Starting from a PBE-relaxed structure, the powder diffraction line list of NaZn2TcNi was computed for Cu Ka.
Neutral-atom scattering factors, no anomalous dispersion.

Most intense lines, 10° ≤ 2θ ≤ 80°, by angle:
2θ 28.97, I 8; 2θ 35.39, I 100; 2θ 40.42, I 47; 2θ 42.42, I 20; 2θ 50.49, I 3; 2θ 58.49, I 15; 2θ 60.03, I 28; 2θ 70.26, I 25; 2θ 73.04, I 11; 2θ 74.88, I 14

Structure:
a b c (Å): 4.4631 4.4631 4.2617
angles (deg): 90.00 90.00 90.00
Space group P4/mmm (No. 123)
Symmetry-distinct sites (fractional):
Na (0.0000, 0.0000, 0.0000) [1 per cell]
Zn (0.0000, 0.5000, 0.0000) [2 per cell]
Tc (0.5000, 0.5000, 0.5000) [1 per cell]
Ni (0.0000, 0.0000, 0.5000) [1 per cell]



Starting from a PBE-relaxed structure, the powder diffraction line list of ZrCrPt14 was computed for Cu Ka.
Neutral-atom scattering factors, no anomalous dispersion.

Most intense lines, 10° ≤ 2θ ≤ 80°, by angle:
2θ 11.16, I 2; 2θ 24.99, I 2; 2θ 31.80, I 2; 2θ 33.73, I 1; 2θ 39.20, I 100; 2θ 45.49, I 33; 2θ 45.77, I 16; 2θ 66.29, I 11; 2θ 66.51, I 21; 2θ 79.81, I 26

Structure:
a b c (Å): 5.6398 5.6398 7.9294
angles (deg): 90.00 90.00 90.00
Space group P4/mmm (No. 123)
Symmetry-distinct sites (fractional):
Zr (0.0000, 0.0000, 0.0000) [1 per cell]
Cr (0.5000, 0.5000, 0.0000) [1 per cell]
Pt (0.0000, 0.0000, 0.5000) [1 per cell]
Pt (0.0000, 0.5000, 0.0000) [2 per cell]
Pt (0.0000, 0.5000, 0.5000) [2 per cell]
Pt (0.2528, 0.2528, 0.2459) [8 per cell]
Pt (0.5000, 0.5000, 0.5000) [1 per cell]



Starting from a PBE-relaxed structure, the powder diffraction line list of MnBeSe2Br was computed for Cu Ka.
Neutral-atom scattering factors, no anomalous dispersion.

Most intense lines, 10° ≤ 2θ ≤ 80°, by angle:
2θ 19.79, I 2; 2θ 32.93, I 100; 2θ 33.92, I 25; 2θ 40.20, I 31; 2θ 53.59, I 26; 2θ 58.16, I 10; 2θ 60.07, I 17; 2θ 68.47, I 23; 2θ 69.06, I 12; 2θ 71.39, I 3

Structure:
a b c (Å): 4.4865 4.4865 5.2852
angles (deg): 90.00 90.00 90.00
Space group P4/mmm (No. 123)
Symmetry-distinct sites (fractional):
Mn (0.0000, 0.0000, 0.0000) [1 per cell]
Be (0.5000, 0.5000, 0.5000) [1 per cell]
Se (0.0000, 0.5000, 0.5000) [2 per cell]
Br (0.5000, 0.5000, 0.0000) [1 per cell]